# 1
This entry pairs a crystal structure of Nd8Ni2Sb with its simulated powder XRD pattern. Radiation: a wavelength of 1.5418 Å. Structure: the PBE geometry in Alexandria.
Intensities are scaled so that the largest is 100.

Structural model:
a = 8.745 Å, b = 13.705 Å, c = 5.541 Å
α = 90.00°, β = 103.67°, γ = 90.00°
Space group C2/m (No. 12)
Symmetry-distinct sites (fractional):
1 Nd 0.000 0.247 0.000 x4
2 Nd 0.107 0.500 0.805 x4
3 Nd 0.202 0.125 0.577 x8
4 Ni 0.000 0.303 0.500 x4
5 Sb 0.000 0.000 0.000 x2

Top 12 peaks for 5 to 70 degrees two-theta, in order of falling intensity:
h k l, 2θ (°), d [Å], I (rel.)
0 4 1, 30.94, 2.891, 100
2 4 0, 33.60, 2.667, 79
2 0 1, 29.70, 3.008, 74
3 1 -1, 32.72, 2.737, 65
1 1 -2, 33.10, 2.707, 50
3 3 0, 37.39, 2.405, 43
2 4 2, 51.70, 1.768, 30
1 5 -1, 37.19, 2.417, 27
2 8 1, 62.38, 1.489, 26
2 4 -3, 57.50, 1.603, 23
1 3 -1, 26.12, 3.411, 23
0 8 0, 53.50, 1.713, 20

---

# 2
This entry pairs a crystal structure of Tb2SiNi3 with its simulated powder XRD pattern. Radiation: a wavelength of 1.5418 Å. Structure: the PBE geometry in Alexandria.
Intensities are scaled so that the largest is 100.

Structural model:
a = 3.781 Å, b = 3.996 Å, c = 7.037 Å
α = 90.00°, β = 90.00°, γ = 90.00°
Space group Pmm2 (No. 25)
Symmetry-distinct sites (fractional):
1 Tb 0.000 0.000 0.000 x1
2 Tb 0.000 0.500 0.483 x1
3 Si 0.500 0.500 0.820 x1
4 Ni 0.500 0.000 0.326 x1
5 Ni 0.500 0.000 0.663 x1
6 Ni 0.500 0.500 0.146 x1

Top 12 peaks for 5 to 70 degrees two-theta, in order of falling intensity:
h k l, 2θ (°), d [Å], I (rel.)
1 1 1, 35.07, 2.559, 100
1 0 2, 34.83, 2.576, 49
0 1 3, 44.80, 2.023, 38
0 1 1, 25.64, 3.475, 24
1 2 2, 58.46, 1.579, 22
2 1 3, 67.85, 1.381, 22
0 2 0, 45.39, 1.998, 19
2 0 0, 48.13, 1.891, 16
0 0 2, 25.31, 3.519, 13
1 0 4, 57.80, 1.595, 12
2 2 0, 68.30, 1.373, 11
2 1 1, 55.32, 1.661, 6

---

# 3
This entry pairs a crystal structure of Ti2Co3Sn with its simulated powder XRD pattern. Radiation: a wavelength of 1.5418 Å. Structure: the PBE geometry in Alexandria.
Intensities are scaled so that the largest is 100.

Structural model:
a = 4.2649 Å, b = 4.2649 Å, c = 10.5481 Å
α = 90.00°, β = 90.00°, γ = 120.00°
Space group P-3m1 (No. 164)
Symmetry-distinct sites (fractional):
1 Ti 0.0000 0.0000 0.0000 x1
2 Ti 0.0000 0.0000 0.5000 x1
3 Ti 0.3333 0.6667 0.1669 x2
4 Co 0.0000 0.0000 0.2365 x2
5 Co 0.3333 0.6667 0.4196 x2
6 Co 0.3333 0.6667 0.9267 x2
7 Sn 0.3333 0.6667 0.6694 x2

Top 12 peaks for 5 to 70 degrees two-theta, in order of falling intensity:
h k l, 2θ (°), d [Å], I (rel.)
1 0 4, 42.10, 2.146, 100
1 1 0, 42.39, 2.132, 98
0 2 4, 61.28, 1.513, 31
1 0 1, 25.55, 3.486, 15
1 0 3, 35.24, 2.547, 7
0 0 1, 8.38, 10.548, 6
1 0 2, 29.53, 3.025, 4
1 1 3, 50.02, 1.823, 4
1 0 0, 24.10, 3.693, 4
0 0 3, 25.33, 3.516, 3
0 1 5, 49.78, 1.832, 3
0 2 1, 50.15, 1.819, 3

---

# 4
This entry pairs a crystal structure of Cu4SeO4 with its simulated powder XRD pattern. Radiation: a wavelength of 1.5418 Å. Structure: the PBE geometry in Alexandria.
Intensities are scaled so that the largest is 100.

Structural model:
a = 8.581 Å, b = 8.581 Å, c = 3.027 Å
α = 90.00°, β = 90.00°, γ = 90.00°
Space group I4/m (No. 87)
Symmetry-distinct sites (fractional):
1 Cu 0.132 0.659 0.000 x8
2 Se 0.000 0.000 0.500 x2
3 O 0.023 0.762 0.500 x8

Top 12 peaks for 5 to 70 degrees two-theta, in order of falling intensity:
h k l, 2θ (°), d [Å], I (rel.)
1 2 1, 37.86, 2.377, 100
3 1 0, 33.01, 2.714, 89
5 0 1, 62.18, 1.493, 25
2 5 1, 66.29, 1.410, 22
1 0 1, 31.34, 2.855, 17
4 1 1, 53.43, 1.715, 17
2 4 0, 47.38, 1.919, 15
3 2 1, 48.67, 1.871, 12
4 4 0, 61.09, 1.517, 11
0 0 2, 61.24, 1.513, 10
3 3 0, 44.81, 2.023, 7
6 0 0, 65.24, 1.430, 6

---

# 5
This entry pairs a crystal structure of Ce2YU2Ru5 with its simulated powder XRD pattern. Radiation: a wavelength of 1.5418 Å. Structure: the PBE geometry in Alexandria.
Intensities are scaled so that the largest is 100.

Structural model:
a = 10.537 Å, b = 10.537 Å, c = 3.677 Å
α = 90.00°, β = 90.00°, γ = 90.00°
Space group P4/mbm (No. 127)
Symmetry-distinct sites (fractional):
1 Ce 0.180 0.320 0.000 x4
2 Y 0.000 0.000 0.000 x2
3 U 0.137 0.637 0.000 x4
4 Ru 0.000 0.500 0.500 x2
5 Ru 0.054 0.789 0.500 x8

Top 12 peaks for 5 to 70 degrees two-theta, in order of falling intensity:
h k l, 2θ (°), d [Å], I (rel.)
3 1 1, 36.39, 2.469, 100
3 2 1, 39.38, 2.288, 40
4 0 1, 42.20, 2.141, 33
2 1 0, 18.83, 4.712, 32
3 3 0, 36.17, 2.484, 32
0 0 2, 49.59, 1.838, 21
2 2 1, 34.27, 2.617, 21
1 1 0, 11.88, 7.451, 20
4 1 0, 35.11, 2.556, 19
6 1 1, 58.94, 1.567, 17
3 1 0, 26.75, 3.332, 16
3 3 2, 62.90, 1.478, 13

---

# 6
This entry pairs a crystal structure of CdSn4Pd with its simulated powder XRD pattern. Radiation: a wavelength of 1.5418 Å. Structure: the PBE geometry in Alexandria.
Intensities are scaled so that the largest is 100.

Structural model:
a = 9.272 Å, b = 10.252 Å, c = 8.046 Å
α = 90.00°, β = 124.92°, γ = 90.00°
Space group C2/c (No. 15)
Symmetry-distinct sites (fractional):
1 Cd 0.000 0.125 0.250 x4
2 Sn 0.109 0.389 0.486 x8
3 Sn 0.128 0.138 0.986 x8
4 Pd 0.000 0.375 0.750 x4

Top 12 peaks for 5 to 70 degrees two-theta, in order of falling intensity:
h k l, 2θ (°), d [Å], I (rel.)
2 2 1, 37.73, 2.384, 100
2 2 -3, 37.86, 2.376, 99
0 4 0, 35.01, 2.563, 59
4 0 -2, 38.85, 2.318, 47
2 6 1, 64.64, 1.442, 35
4 4 -2, 53.28, 1.719, 35
2 2 -1, 25.91, 3.438, 34
0 2 1, 21.96, 4.048, 28
2 0 -2, 23.50, 3.785, 26
2 0 0, 23.40, 3.801, 25
0 2 3, 44.83, 2.022, 22
2 4 -2, 42.57, 2.124, 20

---

# 7
This entry pairs a crystal structure of RbBaTe3 with its simulated powder XRD pattern. Radiation: a wavelength of 1.5418 Å. Structure: the PBE geometry in Alexandria.
Intensities are scaled so that the largest is 100.

Structural model:
a = 16.037 Å, b = 7.131 Å, c = 7.010 Å
α = 90.00°, β = 90.00°, γ = 90.00°
Space group Pnna (No. 52)
Symmetry-distinct sites (fractional):
1 Rb 0.250 0.000 0.075 x4
2 Ba 0.001 0.250 0.750 x4
3 Te 0.027 0.250 0.250 x4
4 Te 0.161 0.559 0.914 x8

Top 12 peaks for 5 to 70 degrees two-theta, in order of falling intensity:
h k l, 2θ (°), d [Å], I (rel.)
2 2 0, 27.37, 3.258, 100
2 0 2, 27.78, 3.212, 68
1 1 2, 28.93, 3.087, 59
0 2 2, 35.92, 2.500, 48
4 1 1, 28.55, 3.127, 45
6 1 1, 38.18, 2.357, 35
5 0 1, 30.65, 2.917, 26
0 1 1, 17.74, 4.999, 24
4 2 0, 33.64, 2.664, 22
6 0 0, 33.53, 2.673, 21
4 2 2, 42.61, 2.122, 21
4 0 2, 33.97, 2.639, 20

---

# 8
This entry pairs a crystal structure of TbPm4Nd2Th with its simulated powder XRD pattern. Radiation: a wavelength of 1.5418 Å. Structure: the PBE geometry in Alexandria.
Intensities are scaled so that the largest is 100.

Structural model:
a = 6.083 Å, b = 6.090 Å, c = 7.329 Å
α = 90.00°, β = 90.11°, γ = 90.00°
Space group P2/m (No. 10)
Symmetry-distinct sites (fractional):
1 Tb 0.000 0.000 0.000 x1
2 Pm 0.000 0.500 0.254 x2
3 Pm 0.500 0.000 0.254 x2
4 Nd 0.000 0.000 0.500 x1
5 Nd 0.500 0.500 0.000 x1
6 Th 0.500 0.500 0.500 x1

Top 12 peaks for 5 to 70 degrees two-theta, in order of falling intensity:
h k l, 2θ (°), d [Å], I (rel.)
1 1 2, 32.08, 2.790, 100
2 0 0, 29.35, 3.043, 63
3 1 2, 53.80, 1.704, 47
2 2 0, 41.99, 2.152, 24
0 2 4, 58.81, 1.570, 13
2 2 4, 67.09, 1.395, 12
4 2 0, 69.00, 1.361, 11
4 0 0, 60.88, 1.522, 8
0 0 4, 49.76, 1.832, 7
2 0 4, 58.89, 1.568, 4
1 0 -1, 18.95, 4.682, 2
0 0 1, 12.08, 7.329, 1